Diffraction record for Sr12CdAu6. The powder X-ray diffraction pattern is computed, not measured: it uses a cell relaxed with GGA-PBE and Cu Kα X-rays.
Kinematic intensities with the Lorentz-polarization factor, no thermal factor.

Main lines, low angle first (2θ from 5° to 70°):
| 2θ/deg | Rel. int. |
| --- | --- |
| 11.11 | 23 |
| 15.74 | 35 |
| 27.44 | 8 |
| 29.69 | 100 |
| 31.79 | 9 |
| 33.77 | 18 |
| 40.87 | 49 |
| 48.51 | 19 |
| 49.93 | 10 |
| 52.68 | 11 |
| 57.91 | 13 |
| 65.24 | 15 |

Structural model:
```
data_Sr12CdAu6
_chemical_formula_sum 'Sr24 Cd2 Au12'
_cell_length_a 11.260
_cell_length_b 11.260
_cell_length_c 11.260
_cell_angle_alpha 90.00
_cell_angle_beta 90.00
_cell_angle_gamma 90.00
_space_group_name_H-M_alt 'I m -3'
_space_group_IT_number 204
_space_group_name_Hall '-I 2 2 3'
loop_
_atom_site_label
_atom_site_type_symbol
_atom_site_fract_x
_atom_site_fract_y
_atom_site_fract_z
Sr1 Sr 0.000 0.305 0.179
Cd1 Cd 0.000 0.000 0.000
Au1 Au 0.000 0.128 0.500
```